(1)
Computed PXRD pattern
Compound: Rb3Hg3Pt
Radiation: CuKα
Structure: the GGA-PBE geometry in Alexandria
No peak broadening, texture or thermal motion is included.

Structural model:
```
data_Rb3Hg3Pt
_cell_length_a 21.418
_cell_length_b 7.353
_cell_length_c 14.660
_cell_angle_alpha 90.00
_cell_angle_beta 90.00
_cell_angle_gamma 90.00
_symmetry_space_group_name_H-M 'C m c e'
_symmetry_Int_Tables_number 64
_symmetry_space_group_name_Hall '-C 2ac 2'
loop_
_atom_site_label
_atom_site_type_symbol
_atom_site_fract_x
_atom_site_fract_y
_atom_site_fract_z
Rb1 Rb 0.000 0.233 0.177
Rb2 Rb 0.168 0.170 0.365
Hg1 Hg 0.000 0.187 0.430
Hg2 Hg 0.160 0.159 0.099
Pt1 Pt 0.064 0.000 0.000
```

The 6 most intense peaks (2θ = 15–90°), in order of rising 2θ:
d_spacing, Position (°2θ), intensity
4.199, 21.2, 39
3.568, 25.0, 100
2.981, 30.0, 80
2.938, 30.4, 48
2.559, 35.1, 86
2.268, 39.7, 45



(2)
Computed PXRD pattern
Compound: Ni2RuPt6
Radiation: CuKα
Structure: the GGA-PBE geometry in Alexandria
No peak broadening, texture or thermal motion is included.

Structural model:
```
data_Ni2RuPt6
_cell_length_a 2.7464
_cell_length_b 2.7464
_cell_length_c 20.4392
_cell_angle_alpha 90.00
_cell_angle_beta 90.00
_cell_angle_gamma 120.00
_symmetry_space_group_name_H-M 'P -6 m 2'
_symmetry_Int_Tables_number 187
_symmetry_space_group_name_Hall 'P -6 2'
loop_
_atom_site_label
_atom_site_type_symbol
_atom_site_fract_x
_atom_site_fract_y
_atom_site_fract_z
Ni1 Ni 0.0000 0.0000 0.1687
Ru1 Ru 0.6667 0.3333 0.5000
Pt1 Pt 0.0000 0.0000 0.3912
Pt2 Pt 0.6667 0.3333 0.0662
Pt3 Pt 0.6667 0.3333 0.2719
```

The 6 most intense peaks (2θ = 15–90°), in order of rising 2θ:
d_spacing, Position (°2θ), intensity
2.378, 37.8, 61
2.271, 39.7, 52
2.156, 41.9, 79
2.056, 44.0, 100
1.373, 68.3, 36
1.175, 82.0, 39



(3)
Computed PXRD pattern
Compound: Ce5GePb2O
Radiation: CuKα
Structure: the GGA-PBE geometry in Alexandria
No peak broadening, texture or thermal motion is included.

Structural model:
```
data_Ce5GePb2O
_cell_length_a 4.666
_cell_length_b 4.666
_cell_length_c 11.801
_cell_angle_alpha 90.00
_cell_angle_beta 90.00
_cell_angle_gamma 90.00
_symmetry_space_group_name_H-M 'P 4/m m m'
_symmetry_Int_Tables_number 123
_symmetry_space_group_name_Hall '-P 4 2'
loop_
_atom_site_label
_atom_site_type_symbol
_atom_site_fract_x
_atom_site_fract_y
_atom_site_fract_z
Ce1 Ce 0.000 0.000 0.000
Ce2 Ce 0.000 0.500 0.500
Ce3 Ce 0.500 0.500 0.246
Ge1 Ge 0.500 0.500 0.000
Pb1 Pb 0.000 0.000 0.289
O1 O 0.500 0.500 0.500
```

The 6 most intense peaks (2θ = 15–90°), in order of rising 2θ:
d_spacing, Position (°2θ), intensity
3.300, 27.0, 62
2.950, 30.3, 59
2.880, 31.1, 100
2.528, 35.5, 80
2.333, 38.6, 85
1.830, 49.8, 59



(4)
Computed PXRD pattern
Compound: Ca6InIr2
Radiation: CuKα
Structure: the GGA-PBE geometry in Alexandria
No peak broadening, texture or thermal motion is included.

Structural model:
```
data_Ca6InIr2
_cell_length_a 9.667
_cell_length_b 9.685
_cell_length_c 11.038
_cell_angle_alpha 90.00
_cell_angle_beta 90.00
_cell_angle_gamma 90.00
_symmetry_space_group_name_H-M 'I m m m'
_symmetry_Int_Tables_number 71
_symmetry_space_group_name_Hall '-I 2 2'
loop_
_atom_site_label
_atom_site_type_symbol
_atom_site_fract_x
_atom_site_fract_y
_atom_site_fract_z
Ca1 Ca 0.000 0.172 0.157
Ca2 Ca 0.182 0.207 0.500
Ca3 Ca 0.206 0.500 0.251
In1 In 0.000 0.500 0.000
In2 In 0.000 0.500 0.500
Ir1 Ir 0.000 0.000 0.377
Ir2 Ir 0.211 0.000 0.000
```

The 6 most intense peaks (2θ = 15–90°), in order of rising 2θ:
d_spacing, Position (°2θ), intensity
5.519, 16.1, 44
4.842, 18.3, 92
4.027, 22.1, 85
2.675, 33.5, 44
2.608, 34.4, 100
2.424, 37.1, 56



(5)
Computed PXRD pattern
Compound: Nd2Hg3Pd2
Radiation: CuKα
Structure: the GGA-PBE geometry in Alexandria
No peak broadening, texture or thermal motion is included.

Structural model:
```
data_Nd2Hg3Pd2
_cell_length_a 10.080
_cell_length_b 4.522
_cell_length_c 7.557
_cell_angle_alpha 90.00
_cell_angle_beta 109.18
_cell_angle_gamma 90.00
_symmetry_space_group_name_H-M 'C 1 2/m 1'
_symmetry_Int_Tables_number 12
_symmetry_space_group_name_Hall '-C 2y'
loop_
_atom_site_label
_atom_site_type_symbol
_atom_site_fract_x
_atom_site_fract_y
_atom_site_fract_z
Nd1 Nd 0.139 0.000 0.276
Hg1 Hg 0.000 0.500 0.500
Hg2 Hg 0.128 0.500 0.941
Pd1 Pd 0.155 0.000 0.693
```

The 6 most intense peaks (2θ = 15–90°), in order of rising 2θ:
d_spacing, Position (°2θ), intensity
2.897, 30.9, 30
2.684, 33.4, 79
2.518, 35.7, 100
2.479, 36.2, 34
2.435, 36.9, 33
2.261, 39.9, 49



(6)
Computed PXRD pattern
Compound: CsSbP
Radiation: CuKα
Structure: the GGA-PBE geometry in Alexandria
No peak broadening, texture or thermal motion is included.

Structural model:
```
data_CsSbP
_cell_length_a 4.760
_cell_length_b 7.471
_cell_length_c 7.499
_cell_angle_alpha 66.49
_cell_angle_beta 77.89
_cell_angle_gamma 77.95
_symmetry_space_group_name_H-M 'P -1'
_symmetry_Int_Tables_number 2
_symmetry_space_group_name_Hall '-P 1'
loop_
_atom_site_label
_atom_site_type_symbol
_atom_site_fract_x
_atom_site_fract_y
_atom_site_fract_z
Cs1 Cs 0.172 0.304 0.301
Sb1 Sb 0.499 0.781 0.221
P1 P 0.196 0.929 0.932
```

The 6 most intense peaks (2θ = 15–90°), in order of rising 2θ:
d_spacing, Position (°2θ), intensity
4.091, 21.7, 74
3.625, 24.6, 61
3.398, 26.2, 100
3.293, 27.1, 80
3.064, 29.1, 69
2.939, 30.4, 49



(7)
Computed PXRD pattern
Compound: Rb2CdTeSe
Radiation: CuKα
Structure: the GGA-PBE geometry in Alexandria
No peak broadening, texture or thermal motion is included.

Structural model:
```
data_Rb2CdTeSe
_cell_length_a 8.745
_cell_length_b 4.681
_cell_length_c 11.035
_cell_angle_alpha 90.00
_cell_angle_beta 107.60
_cell_angle_gamma 90.00
_symmetry_space_group_name_H-M 'P 1 21/m 1'
_symmetry_Int_Tables_number 11
_symmetry_space_group_name_Hall '-P 2yb'
loop_
_atom_site_label
_atom_site_type_symbol
_atom_site_fract_x
_atom_site_fract_y
_atom_site_fract_z
Rb1 Rb 0.171 0.250 0.392
Rb2 Rb 0.204 0.250 0.957
Cd1 Cd 0.496 0.250 0.739
Te1 Te 0.299 0.750 0.694
Se1 Se 0.201 0.750 0.180
```

The 6 most intense peaks (2θ = 15–90°), in order of rising 2θ:
d_spacing, Position (°2θ), intensity
5.259, 16.9, 45
5.216, 17.0, 49
3.498, 25.5, 93
3.484, 25.6, 100
2.759, 32.5, 64
2.341, 38.5, 49



(8)
Computed PXRD pattern
Compound: RbOF
Radiation: CuKα
Structure: the GGA-PBE geometry in Alexandria
No peak broadening, texture or thermal motion is included.

Structural model:
```
data_RbOF
_cell_length_a 10.132
_cell_length_b 3.939
_cell_length_c 7.903
_cell_angle_alpha 90.00
_cell_angle_beta 109.75
_cell_angle_gamma 90.00
_symmetry_space_group_name_H-M 'P 1 21/c 1'
_symmetry_Int_Tables_number 14
_symmetry_space_group_name_Hall '-P 2ybc'
loop_
_atom_site_label
_atom_site_type_symbol
_atom_site_fract_x
_atom_site_fract_y
_atom_site_fract_z
Rb1 Rb 0.153 0.249 0.190
O1 O 0.482 0.557 0.423
F1 F 0.144 0.750 0.436
```

The 6 most intense peaks (2θ = 15–90°), in order of rising 2θ:
d_spacing, Position (°2θ), intensity
3.641, 24.5, 58
3.576, 24.9, 50
3.179, 28.1, 99
3.037, 29.4, 49
2.788, 32.1, 100
2.704, 33.1, 55